[1]
Diffraction record for Sm12YSc6. The PXRD pattern is computed, not measured: it uses DFT lattice parameters and positions (PBE) and Cu Ka.
Neutral-atom scattering factors, no anomalous dispersion.

Structural model:
a b c (Å): 9.171 9.171 9.171
angles (deg): 109.47 109.47 109.47
Fractional positions:
Sm (0.070, 0.268, 0.801)
Sm (0.199, 0.467, 0.268)
Sm (0.199, 0.930, 0.732)
Sm (0.268, 0.199, 0.467)
Sm (0.268, 0.801, 0.070)
Sm (0.467, 0.268, 0.199)
Sm (0.533, 0.732, 0.801)
Sm (0.732, 0.199, 0.930)
Sm (0.732, 0.801, 0.533)
Sm (0.801, 0.070, 0.268)
Sm (0.801, 0.533, 0.732)
Sm (0.930, 0.732, 0.199)
Y (0.000, 0.000, 0.000)
Sc (0.138, 0.500, 0.638)
Sc (0.362, 0.862, 0.500)
Sc (0.500, 0.362, 0.862)
Sc (0.500, 0.638, 0.138)
Sc (0.638, 0.138, 0.500)
Sc (0.862, 0.500, 0.362)

Main lines, in order of rising 2θ (10 to 90 degrees two-theta):
23.8 deg, I = 23
26.6 deg, I = 20
29.2 deg, I = 100
31.6 deg, I = 95
33.9 deg, I = 54
36.0 deg, I = 16
38.0 deg, I = 21
50.2 deg, I = 27
53.3 deg, I = 37
62.0 deg, I = 23

---

[2]
Diffraction record for Ta6VH. The PXRD pattern is computed, not measured: it uses DFT lattice parameters and positions (PBE) and Cu Ka.
Neutral-atom scattering factors, no anomalous dispersion.

Structural model:
a b c (Å): 4.720 5.403 5.429
angles (deg): 95.01 113.28 91.47
Fractional positions:
Ta (0.066, 0.275, 0.135)
Ta (0.216, 0.860, 0.438)
Ta (0.386, 0.414, 0.732)
Ta (0.614, 0.586, 0.268)
Ta (0.784, 0.140, 0.562)
Ta (0.934, 0.725, 0.865)
V (0.500, 0.000, 0.000)
H (0.000, 0.500, 0.500)

Main lines, in order of rising 2θ (10 to 90 degrees two-theta):
38.2 deg, I = 100
38.3 deg, I = 97
38.9 deg, I = 48
39.4 deg, I = 47
53.8 deg, I = 17
56.5 deg, I = 16
56.6 deg, I = 16
68.3 deg, I = 17
70.0 deg, I = 25
70.5 deg, I = 17

---

[3]
Diffraction record for Sr4POs. The PXRD pattern is computed, not measured: it uses DFT lattice parameters and positions (PBE) and Cu Ka.
Neutral-atom scattering factors, no anomalous dispersion.

Structural model:
a b c (Å): 6.353 6.353 6.353
angles (deg): 60.00 60.00 60.00
Fractional positions:
Sr (0.125, 0.125, 0.125)
Sr (0.125, 0.125, 0.626)
Sr (0.125, 0.626, 0.125)
Sr (0.626, 0.125, 0.125)
P (0.500, 0.500, 0.500)
Os (0.750, 0.750, 0.750)

Main lines, in order of rising 2θ (10 to 90 degrees two-theta):
17.1 deg, I = 17
19.8 deg, I = 17
28.1 deg, I = 30
33.1 deg, I = 100
34.6 deg, I = 36
49.7 deg, I = 12
53.0 deg, I = 35
58.1 deg, I = 26
69.4 deg, I = 14
82.5 deg, I = 22

---

[4]
Diffraction record for TaAlMo. The PXRD pattern is computed, not measured: it uses DFT lattice parameters and positions (PBE) and Cu Ka.
Neutral-atom scattering factors, no anomalous dispersion.

Structural model:
a b c (Å): 4.984 4.984 4.984
angles (deg): 140.49 140.49 57.11
Fractional positions:
Ta (0.000, 0.000, 0.000)
Al (0.322, 0.322, 0.000)
Mo (0.657, 0.657, 0.000)

Main lines, in order of rising 2θ (10 to 90 degrees two-theta):
20.3 deg, I = 32
28.4 deg, I = 46
37.8 deg, I = 63
40.9 deg, I = 100
43.2 deg, I = 19
54.5 deg, I = 22
62.5 deg, I = 10
70.3 deg, I = 40
76.6 deg, I = 15
88.7 deg, I = 11

---

[5]
Diffraction record for SiAg6SO8. The PXRD pattern is computed, not measured: it uses DFT lattice parameters and positions (PBE) and Cu Ka.
Neutral-atom scattering factors, no anomalous dispersion.

Structural model:
a b c (Å): 10.428 10.428 10.428
angles (deg): 140.50 140.50 57.09
Fractional positions:
Si (0.375, 0.625, 0.750)
Si (0.625, 0.375, 0.250)
Ag (0.000, 0.294, 0.294)
Ag (0.000, 0.706, 0.706)
Ag (0.140, 0.390, 0.750)
Ag (0.294, 0.000, 0.794)
Ag (0.294, 0.500, 0.294)
Ag (0.390, 0.140, 0.250)
Ag (0.500, 0.294, 0.794)
Ag (0.500, 0.706, 0.206)
Ag (0.610, 0.860, 0.750)
Ag (0.706, 0.000, 0.206)
Ag (0.706, 0.500, 0.706)
Ag (0.860, 0.610, 0.250)
S (0.125, 0.875, 0.250)
S (0.875, 0.125, 0.750)
O (0.001, 0.078, 0.924)
O (0.078, 0.001, 0.424)
O (0.078, 0.654, 0.076)
O (0.232, 0.676, 0.555)
O (0.324, 0.379, 0.555)
O (0.324, 0.768, 0.945)
O (0.346, 0.922, 0.424)
O (0.379, 0.324, 0.055)
O (0.621, 0.676, 0.945)
O (0.654, 0.078, 0.576)
O (0.676, 0.232, 0.055)
O (0.676, 0.621, 0.445)
O (0.768, 0.324, 0.445)
O (0.922, 0.346, 0.924)
O (0.922, 0.999, 0.576)
O (0.999, 0.922, 0.076)

Main lines, in order of rising 2θ (10 to 90 degrees two-theta):
20.3 deg, I = 7
32.0 deg, I = 100
36.0 deg, I = 25
37.6 deg, I = 9
39.3 deg, I = 10
41.7 deg, I = 7
51.9 deg, I = 11
54.4 deg, I = 19
62.3 deg, I = 17
66.8 deg, I = 7

---

[6]
Diffraction record for Er2Pb2O. The PXRD pattern is computed, not measured: it uses DFT lattice parameters and positions (PBE) and Cu Ka.
Neutral-atom scattering factors, no anomalous dispersion.

Structural model:
a b c (Å): 8.410 8.410 8.344
angles (deg): 90.00 90.00 154.90
Fractional positions:
Er (0.039, 0.961, 0.500)
Er (0.373, 0.627, 0.324)
Er (0.627, 0.373, 0.824)
Er (0.961, 0.039, 0.000)
Pb (0.274, 0.726, 0.992)
Pb (0.392, 0.608, 0.691)
Pb (0.608, 0.392, 0.191)
Pb (0.726, 0.274, 0.492)
O (0.064, 0.936, 0.765)
O (0.936, 0.064, 0.265)

Main lines, in order of rising 2θ (10 to 90 degrees two-theta):
29.4 deg, I = 63
30.6 deg, I = 77
31.3 deg, I = 100
33.0 deg, I = 46
34.0 deg, I = 54
34.5 deg, I = 47
41.2 deg, I = 42
57.2 deg, I = 35
59.6 deg, I = 24
63.6 deg, I = 23

---

[7]
Diffraction record for AsH5Br4. The PXRD pattern is computed, not measured: it uses DFT lattice parameters and positions (PBE) and Cu Ka.
Neutral-atom scattering factors, no anomalous dispersion.

Structural model:
a b c (Å): 7.328 7.328 7.328
angles (deg): 103.56 103.56 122.09
Fractional positions:
As (0.000, 0.000, 0.000)
H (0.140, 0.735, 0.904)
H (0.217, 0.217, 0.000)
H (0.236, 0.140, 0.405)
H (0.735, 0.831, 0.595)
H (0.831, 0.236, 0.096)
Br (0.225, 0.608, 0.827)
Br (0.398, 0.225, 0.617)
Br (0.608, 0.781, 0.383)
Br (0.781, 0.398, 0.173)

Main lines, in order of rising 2θ (10 to 90 degrees two-theta):
25.1 deg, I = 27
25.3 deg, I = 100
31.2 deg, I = 28
40.4 deg, I = 27
44.3 deg, I = 21
44.7 deg, I = 10
51.9 deg, I = 13
52.0 deg, I = 22
64.8 deg, I = 11
70.9 deg, I = 8

---

[8]
Diffraction record for Tl4GaSe6. The PXRD pattern is computed, not measured: it uses DFT lattice parameters and positions (PBE) and Cu Ka.
Neutral-atom scattering factors, no anomalous dispersion.

Structural model:
a b c (Å): 7.890 7.890 13.438
angles (deg): 105.60 105.60 66.55
Fractional positions:
Tl (0.040, 0.960, 0.500)
Tl (0.392, 0.545, 0.198)
Tl (0.418, 0.917, 0.875)
Tl (0.545, 0.392, 0.698)
Tl (0.752, 0.868, 0.190)
Tl (0.868, 0.752, 0.690)
Tl (0.917, 0.418, 0.375)
Tl (0.960, 0.040, 0.000)
Ga (0.004, 0.511, 0.928)
Ga (0.511, 0.004, 0.428)
Se (0.058, 0.683, 0.323)
Se (0.187, 0.784, 0.667)
Se (0.188, 0.234, 0.012)
Se (0.213, 0.688, 0.984)
Se (0.234, 0.188, 0.512)
Se (0.418, 0.949, 0.240)
Se (0.631, 0.716, 0.500)
Se (0.683, 0.058, 0.823)
Se (0.688, 0.213, 0.484)
Se (0.716, 0.631, 0.000)
Se (0.784, 0.187, 0.167)
Se (0.949, 0.418, 0.740)

Main lines, in order of rising 2θ (10 to 90 degrees two-theta):
12.4 deg, I = 39
20.4 deg, I = 34
21.7 deg, I = 39
22.9 deg, I = 39
23.8 deg, I = 92
24.9 deg, I = 49
26.4 deg, I = 100
28.6 deg, I = 38
40.0 deg, I = 50
46.9 deg, I = 41